[1]
Diffraction record for Ba3NdRu2O9. The X-ray powder pattern is theoretical, not measured: it uses a cell relaxed with GGA-PBE and Cu Kα (weighted mean of Kα1 and Kα2).

abc: 6.009 6.009 14.913
angles: 90.00 90.00 120.00
Element x y z (fractional)
Ba 0.000 0.000 0.250
Ba 0.000 0.000 0.750
Ba 0.333 0.667 0.103
Ba 0.333 0.667 0.397
Ba 0.667 0.333 0.603
Ba 0.667 0.333 0.897
Nd 0.000 0.000 0.000
Nd 0.000 0.000 0.500
Ru 0.333 0.667 0.666
Ru 0.333 0.667 0.834
Ru 0.667 0.333 0.166
Ru 0.667 0.333 0.334
O 0.018 0.509 0.750
O 0.178 0.356 0.593
O 0.178 0.356 0.907
O 0.178 0.822 0.593
O 0.178 0.822 0.907
O 0.356 0.178 0.093
O 0.356 0.178 0.407
O 0.491 0.509 0.750
O 0.491 0.982 0.750
O 0.509 0.018 0.250
O 0.509 0.491 0.250
O 0.644 0.822 0.593
O 0.644 0.822 0.907
O 0.822 0.178 0.093
O 0.822 0.178 0.407
O 0.822 0.644 0.093
O 0.822 0.644 0.407
O 0.982 0.491 0.250

Top 10 peaks for 15° ≤ 2θ ≤ 90°, in order of rising 2θ:
- 2θ 24.77, I = 21.3
- 2θ 29.47, I = 73.2
- 2θ 29.73, I = 100.0
- 2θ 39.07, I = 16.8
- 2θ 42.36, I = 41.9
- 2θ 46.03, I = 14.9
- 2θ 52.61, I = 27.3
- 2θ 52.77, I = 20.0
- 2θ 55.77, I = 13.0
- 2θ 61.75, I = 18.6

[2]
Diffraction record for ThGa9Ru2. The X-ray powder pattern is theoretical, not measured: it uses a cell relaxed with GGA-PBE and Cu Kα (weighted mean of Kα1 and Kα2).

abc: 8.298 8.298 8.298
angles: 101.97 101.96 125.83
Element x y z (fractional)
Th 0.375 0.125 0.250
Th 0.625 0.875 0.750
Ga 0.125 0.375 0.750
Ga 0.147 0.068 0.837
Ga 0.147 0.311 0.079
Ga 0.190 0.353 0.421
Ga 0.190 0.769 0.837
Ga 0.268 0.689 0.337
Ga 0.268 0.932 0.579
Ga 0.432 0.353 0.663
Ga 0.432 0.769 0.079
Ga 0.568 0.231 0.921
Ga 0.568 0.647 0.337
Ga 0.732 0.068 0.421
Ga 0.732 0.311 0.663
Ga 0.810 0.231 0.163
Ga 0.810 0.647 0.579
Ga 0.853 0.689 0.921
Ga 0.853 0.932 0.163
Ga 0.875 0.625 0.250
Ru 0.000 0.000 0.500
Ru 0.000 0.500 0.000
Ru 0.000 0.500 0.500
Ru 0.500 0.500 0.000

Top 10 peaks for 15° ≤ 2θ ≤ 90°, in order of rising 2θ:
- 2θ 22.37, I = 33.1
- 2θ 26.50, I = 28.0
- 2θ 33.11, I = 52.1
- 2θ 36.11, I = 100.0
- 2θ 36.70, I = 47.5
- 2θ 38.53, I = 68.1
- 2θ 45.01, I = 30.8
- 2θ 45.65, I = 39.5
- 2θ 54.56, I = 20.4
- 2θ 68.14, I = 28.5